# TbGdGePt
Computed powder X-ray diffraction pattern, copper Kα. Input: a DFT-relaxed cell (PBE, Alexandria).
No peak broadening, texture or thermal motion is included.

Peak list (10 most intense, 15° ≤ 2θ ≤ 90°, in order of rising 2θ)
2θ = 21.6°, I 9; 2θ = 35.6°, I 100; 2θ = 42.0°, I 5; 2θ = 51.3°, I 18; 2θ = 56.3°, I 2; 2θ = 64.0°, I 37; 2θ = 68.4°, I 2; 2θ = 75.4°, I 11; 2θ = 79.6°, I 2; 2θ = 86.3°, I 16

Cell and atoms:
```
TbGdGePt
1.0
0.000 3.564 3.564
3.564 0.000 3.564
3.564 3.564 0.000
Tb Gd Ge Pt
1 1 1 1
Direct
0.000 0.000 0.000 Tb
0.500 0.500 0.500 Gd
0.250 0.250 0.250 Ge
0.750 0.750 0.750 Pt
```

# LiCa2Ge4Ir3
Computed powder X-ray diffraction pattern, copper Kα. Input: a DFT-relaxed cell (PBE, Alexandria).
No peak broadening, texture or thermal motion is included.

Peak list (10 most intense, 15° ≤ 2θ ≤ 90°, in order of rising 2θ)
2θ = 22.3°, I 81; 2θ = 27.4°, I 40; 2θ = 34.3°, I 100; 2θ = 41.4°, I 64; 2θ = 47.4°, I 60; 2θ = 47.6°, I 23; 2θ = 51.1°, I 20; 2θ = 54.8°, I 28; 2θ = 60.0°, I 21; 2θ = 79.8°, I 26

Cell and atoms:
```
LiCa2Ge4Ir3
1.0
4.360 0.000 0.000
0.000 4.360 0.000
0.000 0.000 9.799
Li Ca Ge Ir
1 2 4 3
Direct
0.000 0.000 0.000 Li
0.000 0.500 0.748 Ca
0.500 0.000 0.252 Ca
0.000 0.000 0.500 Ge
0.000 0.500 0.123 Ge
0.500 0.000 0.877 Ge
0.500 0.500 0.500 Ge
0.000 0.500 0.372 Ir
0.500 0.000 0.628 Ir
0.500 0.500 0.000 Ir
```

# Pm4SbTeSe2
Computed powder X-ray diffraction pattern, copper Kα. Input: a DFT-relaxed cell (PBE, Alexandria).
No peak broadening, texture or thermal motion is included.

Peak list (10 most intense, 15° ≤ 2θ ≤ 90°, in order of rising 2θ)
2θ = 29.1°, I 100; 2θ = 41.4°, I 12; 2θ = 41.5°, I 24; 2θ = 41.7°, I 25; 2θ = 41.8°, I 13; 2θ = 51.7°, I 13; 2θ = 60.3°, I 12; 2θ = 68.2°, I 10; 2θ = 68.5°, I 11; 2θ = 76.1°, I 10

Cell and atoms:
```
Pm4SbTeSe2
1.0
7.509 0.000 0.000
0.000 4.321 0.000
-2.480 0.000 7.137
Pm Sb Te Se
4 1 1 2
Direct
0.235 0.000 0.225 Pm
0.250 0.500 0.769 Pm
0.750 0.500 0.231 Pm
0.765 0.000 0.775 Pm
0.000 0.000 0.500 Sb
0.500 0.500 0.500 Te
0.000 0.500 0.000 Se
0.500 0.000 0.000 Se
```

# BaNaIn2Se4
Computed powder X-ray diffraction pattern, copper Kα. Input: a DFT-relaxed cell (PBE, Alexandria).
No peak broadening, texture or thermal motion is included.

Peak list (10 most intense, 15° ≤ 2θ ≤ 90°, in order of rising 2θ)
2θ = 15.5°, I 13; 2θ = 20.2°, I 20; 2θ = 26.3°, I 100; 2θ = 28.4°, I 20; 2θ = 33.8°, I 59; 2θ = 39.7°, I 12; 2θ = 43.3°, I 53; 2θ = 44.6°, I 14; 2θ = 48.0°, I 17; 2θ = 48.5°, I 19

Cell and atoms:
```
BaNaIn2Se4
1.0
-3.755 3.755 4.396
3.755 -3.755 4.396
3.755 3.755 -4.396
Ba Na In Se
1 1 2 4
Direct
0.000 0.000 0.000 Ba
0.500 0.500 0.000 Na
0.250 0.750 0.500 In
0.750 0.250 0.500 In
0.092 0.092 0.551 Se
0.459 0.908 0.000 Se
0.541 0.541 0.449 Se
0.908 0.459 0.000 Se
```

# TiBi2O5
Computed powder X-ray diffraction pattern, copper Kα. Input: a DFT-relaxed cell (PBE, Alexandria).
No peak broadening, texture or thermal motion is included.

Peak list (10 most intense, 15° ≤ 2θ ≤ 90°, in order of rising 2θ)
2θ = 22.9°, I 25; 2θ = 27.9°, I 100; 2θ = 31.8°, I 16; 2θ = 33.7°, I 19; 2θ = 36.0°, I 14; 2θ = 45.3°, I 12; 2θ = 46.7°, I 15; 2θ = 47.0°, I 14; 2θ = 54.2°, I 17; 2θ = 56.7°, I 15

Cell and atoms:
```
TiBi2O5
1.0
7.985 -2.846 0.000
7.985 2.846 0.000
0.000 0.000 5.635
Ti Bi O
2 4 10
Direct
0.190 0.810 0.500 Ti
0.810 0.190 0.000 Ti
0.125 0.535 0.055 Bi
0.465 0.875 0.055 Bi
0.535 0.125 0.555 Bi
0.875 0.465 0.555 Bi
0.077 0.923 0.812 O
0.225 0.275 0.770 O
0.258 0.554 0.432 O
0.275 0.225 0.270 O
0.446 0.742 0.432 O
0.554 0.258 0.932 O
0.725 0.775 0.770 O
0.742 0.446 0.932 O
0.775 0.725 0.270 O
0.923 0.077 0.312 O
```

# Sr2AcHg10
Computed powder X-ray diffraction pattern, copper Kα. Input: a DFT-relaxed cell (PBE, Alexandria).
No peak broadening, texture or thermal motion is included.

Peak list (10 most intense, 15° ≤ 2θ ≤ 90°, in order of rising 2θ)
2θ = 30.0°, I 43; 2θ = 31.3°, I 100; 2θ = 31.7°, I 58; 2θ = 33.4°, I 37; 2θ = 33.7°, I 33; 2θ = 34.6°, I 42; 2θ = 37.1°, I 22; 2θ = 37.5°, I 25; 2θ = 40.3°, I 23; 2θ = 54.2°, I 24

Cell and atoms:
```
Sr2AcHg10
1.0
5.938 0.000 0.000
0.000 10.145 0.000
-0.005 0.000 12.454
Sr Ac Hg
4 2 20
Direct
0.215 0.135 0.324 Sr
0.215 0.365 0.824 Sr
0.785 0.635 0.176 Sr
0.785 0.865 0.676 Sr
0.000 0.000 0.000 Ac
0.000 0.500 0.500 Ac
0.058 0.194 0.596 Hg
0.058 0.306 0.096 Hg
0.274 0.677 0.707 Hg
0.274 0.823 0.207 Hg
0.282 0.026 0.772 Hg
0.282 0.474 0.272 Hg
0.302 0.579 0.041 Hg
0.302 0.921 0.541 Hg
0.498 0.164 0.062 Hg
0.498 0.336 0.562 Hg
0.502 0.664 0.438 Hg
0.502 0.836 0.938 Hg
0.698 0.079 0.459 Hg
0.698 0.421 0.959 Hg
0.718 0.526 0.728 Hg
0.718 0.974 0.228 Hg
0.726 0.177 0.793 Hg
0.726 0.323 0.293 Hg
0.942 0.694 0.904 Hg
0.942 0.806 0.404 Hg
```

# TaBS3
Computed powder X-ray diffraction pattern, copper Kα. Input: a DFT-relaxed cell (PBE, Alexandria).
No peak broadening, texture or thermal motion is included.

Peak list (10 most intense, 15° ≤ 2θ ≤ 90°, in order of rising 2θ)
2θ = 16.2°, I 100; 2θ = 18.3°, I 27; 2θ = 22.7°, I 45; 2θ = 31.7°, I 22; 2θ = 31.8°, I 30; 2θ = 38.9°, I 28; 2θ = 39.4°, I 28; 2θ = 39.7°, I 22; 2θ = 42.0°, I 29; 2θ = 45.8°, I 18

Cell and atoms:
```
TaBS3
1.0
1.570 -9.670 0.000
1.570 9.670 0.000
0.000 0.000 6.660
Ta B S
2 2 6
Direct
0.164 0.836 0.500 Ta
0.836 0.164 0.000 Ta
0.351 0.649 0.715 B
0.649 0.351 0.215 B
0.096 0.904 0.176 S
0.259 0.741 0.774 S
0.400 0.600 0.195 S
0.600 0.400 0.695 S
0.741 0.259 0.274 S
0.904 0.096 0.676 S
```

# LaPm4Pr2Er
Computed powder X-ray diffraction pattern, copper Kα. Input: a DFT-relaxed cell (PBE, Alexandria).
No peak broadening, texture or thermal motion is included.

Peak list (10 most intense, 15° ≤ 2θ ≤ 90°, in order of rising 2θ)
2θ = 29.9°, I 100; 2θ = 30.0°, I 33; 2θ = 34.6°, I 45; 2θ = 34.7°, I 22; 2θ = 49.7°, I 32; 2θ = 49.9°, I 16; 2θ = 59.1°, I 29; 2θ = 59.2°, I 14; 2θ = 59.3°, I 10; 2θ = 80.8°, I 14

Cell and atoms:
```
LaPm4Pr2Er
1.0
6.320 -3.667 0.000
6.320 3.667 0.000
-4.201 0.000 11.984
La Pm Pr Er
2 8 4 2
Direct
0.000 0.000 0.000 La
0.000 0.000 0.500 La
0.249 0.750 0.748 Pm
0.250 0.250 0.747 Pm
0.250 0.751 0.252 Pm
0.251 0.251 0.254 Pm
0.749 0.749 0.746 Pm
0.750 0.249 0.748 Pm
0.750 0.750 0.253 Pm
0.751 0.250 0.252 Pm
0.000 0.500 0.000 Pr
0.500 0.000 0.000 Pr
0.500 0.500 0.000 Pr
0.500 0.500 0.500 Pr
0.000 0.500 0.500 Er
0.500 0.000 0.500 Er
```

# Dy4CdBi2
Computed powder X-ray diffraction pattern, copper Kα. Input: a DFT-relaxed cell (PBE, Alexandria).
No peak broadening, texture or thermal motion is included.

Peak list (10 most intense, 15° ≤ 2θ ≤ 90°, in order of rising 2θ)
2θ = 26.6°, I 45; 2θ = 28.9°, I 45; 2θ = 30.6°, I 35; 2θ = 30.8°, I 25; 2θ = 32.1°, I 76; 2θ = 32.6°, I 65; 2θ = 33.5°, I 31; 2θ = 33.6°, I 100; 2θ = 35.3°, I 44; 2θ = 43.3°, I 26

Cell and atoms:
```
Dy4CdBi2
1.0
6.207 0.000 0.000
0.000 6.691 0.000
-2.436 0.000 10.065
Dy Cd Bi
8 2 4
Direct
0.026 0.005 0.256 Dy
0.026 0.495 0.256 Dy
0.358 0.750 0.534 Dy
0.463 0.750 0.161 Dy
0.537 0.250 0.839 Dy
0.642 0.250 0.466 Dy
0.974 0.505 0.744 Dy
0.974 0.995 0.744 Dy
0.419 0.750 0.829 Cd
0.581 0.250 0.171 Cd
0.130 0.250 0.007 Bi
0.189 0.250 0.541 Bi
0.811 0.750 0.459 Bi
0.870 0.750 0.993 Bi
```

# AsPd4I5
Computed powder X-ray diffraction pattern, copper Kα. Input: a DFT-relaxed cell (PBE, Alexandria).
No peak broadening, texture or thermal motion is included.

Peak list (10 most intense, 15° ≤ 2θ ≤ 90°, in order of rising 2θ)
2θ = 26.9°, I 10; 2θ = 28.0°, I 12; 2θ = 30.8°, I 66; 2θ = 32.2°, I 100; 2θ = 45.0°, I 55; 2θ = 45.2°, I 38; 2θ = 47.4°, I 14; 2θ = 55.4°, I 23; 2θ = 67.4°, I 9; 2θ = 74.8°, I 9

Cell and atoms:
```
AsPd4I5
1.0
8.947 -2.019 0.000
8.947 2.019 0.000
-1.694 0.000 7.478
As Pd I
1 4 5
Direct
0.000 0.000 0.000 As
0.154 0.154 0.086 Pd
0.497 0.497 0.794 Pd
0.503 0.503 0.206 Pd
0.846 0.846 0.914 Pd
0.000 0.000 0.500 I
0.336 0.336 0.667 I
0.341 0.341 0.156 I
0.659 0.659 0.844 I
0.664 0.664 0.333 I
```

# ScOs2Pb
Computed powder X-ray diffraction pattern, copper Kα. Input: a DFT-relaxed cell (PBE, Alexandria).
No peak broadening, texture or thermal motion is included.

Peak list (10 most intense, 15° ≤ 2θ ≤ 90°, in order of rising 2θ)
2θ = 23.5°, I 15; 2θ = 28.7°, I 25; 2θ = 30.9°, I 16; 2θ = 36.7°, I 100; 2θ = 36.8°, I 50; 2θ = 39.6°, I 40; 2θ = 43.3°, I 67; 2θ = 44.0°, I 25; 2θ = 61.5°, I 19; 2θ = 65.3°, I 15

Cell and atoms:
```
ScOs2Pb
1.0
4.647 -1.525 0.000
4.647 1.525 0.000
-1.032 0.000 5.105
Sc Os Pb
1 2 1
Direct
0.000 0.000 0.000 Sc
0.263 0.263 0.789 Os
0.737 0.737 0.211 Os
0.500 0.500 0.500 Pb
```

# NdSb5
Computed powder X-ray diffraction pattern, copper Kα. Input: a DFT-relaxed cell (PBE, Alexandria).
No peak broadening, texture or thermal motion is included.

Peak list (10 most intense, 15° ≤ 2θ ≤ 90°, in order of rising 2θ)
2θ = 32.3°, I 100; 2θ = 39.7°, I 12; 2θ = 39.9°, I 11; 2θ = 52.1°, I 10; 2θ = 52.3°, I 10; 2θ = 57.5°, I 8; 2θ = 57.7°, I 13; 2θ = 67.4°, I 9; 2θ = 67.6°, I 18; 2θ = 86.0°, I 6

Cell and atoms:
```
NdSb5
1.0
2.269 -8.298 0.000
2.269 8.298 0.000
0.000 0.000 4.522
Nd Sb
1 5
Direct
0.000 0.000 0.000 Nd
0.159 0.841 0.500 Sb
0.342 0.658 0.000 Sb
0.500 0.500 0.500 Sb
0.658 0.342 0.000 Sb
0.841 0.159 0.500 Sb
```